This entry pairs a crystal structure of Fe4OF6 with its computed X-ray diffraction stick pattern. Radiation: Cu Kα, 1.54184 Å. Structure: a crystal structure in the Materials Project, relaxed with PBE+U.

Main lines, low angle first (10 to 80 degrees two-theta):
hkl  two_theta  I/Imax
1 2 0  30.4  100
1 -2 0  30.6  96
0 2 2  35.7  18
2 2 2  50.3  18
2 -2 2  50.5  18
2 2 -2  50.7  18
-2 2 2  50.9  17
0 4 0  51.4  42
1 4 2  60.8  15
1 4 -2  60.9  13
1 2 -4  61.0  15
-1 2 4  61.2  13

Structure:
```
data_Fe4OF6
_cell_length_a 5.1816
_cell_length_b 7.1079
_cell_length_c 7.1087
_cell_angle_alpha 89.98
_cell_angle_beta 89.49
_cell_angle_gamma 89.70
_symmetry_space_group_name_H-M 'P 1'
_symmetry_Int_Tables_number 1
_symmetry_space_group_name_Hall 'P 1'
loop_
_atom_site_label
_atom_site_type_symbol
_atom_site_fract_x
_atom_site_fract_y
_atom_site_fract_z
_atom_site_occupancy
Fe1 Fe 0.0000 0.0000 0.0000 1
Fe2 Fe 0.9999 0.0018 0.5017 1
Fe3 Fe 0.0940 0.4957 0.9940 1
Fe4 Fe 0.0974 0.5015 0.4978 1
Fe5 Fe 0.4984 0.2500 0.7510 1
Fe6 Fe 0.4996 0.7538 0.7518 1
Fe7 Fe 0.5968 0.2510 0.2531 1
Fe8 Fe 0.5985 0.7514 0.2512 1
O1 O 0.2910 0.5034 0.7509 1
O2 O 0.7987 0.0016 0.2523 1
F1 F 0.2335 0.0042 0.7529 1
F2 F 0.2965 0.2118 0.0472 1
F3 F 0.2973 0.2083 0.4611 1
F4 F 0.2986 0.7969 0.4618 1
F5 F 0.3028 0.7952 0.0446 1
F6 F 0.3740 0.5027 0.2640 1
F7 F 0.7327 0.0007 0.7433 1
F8 F 0.7958 0.2980 0.5427 1
F9 F 0.7959 0.7053 0.5400 1
F10 F 0.7966 0.2848 0.9551 1
F11 F 0.8008 0.7163 0.9569 1
F12 F 0.8759 0.4972 0.2427 1
```